This entry pairs a crystal structure of TiFe2O4 with its theoretical X-ray powder pattern. Radiation: Cu Kα (λ = 1.5418 Å). Structure: the PBE+U geometry in Alexandria.
No peak broadening, texture or thermal motion is included.

Cell: 9.9798 2.9423 9.8935 Å, 90.00 90.00 90.00°
Space group Pmma (No. 51)
One atom of each set of equivalent atoms:
Ti 0.0706 0.0000 0.1296
Fe 0.0745 0.5000 0.6269
Fe 0.2500 0.0000 0.3886
Fe 0.2500 0.5000 0.8723
O 0.0000 0.0000 0.5000
O 0.0000 0.5000 0.0000
O 0.1094 0.0000 0.7878
O 0.1150 0.5000 0.2609
O 0.2500 0.0000 0.0430
O 0.2500 0.5000 0.5354

Main lines, in order of rising 2θ (2θ = 15–90°):
d/Å  2theta  I (rel.)
2.760  32.43  100
2.714  33.01  29
2.473  36.32  21
2.455  36.60  22
2.144  42.14  48
2.010  45.11  48
1.629  56.48  21
1.477  62.92  33
1.472  63.19  21
1.298  72.85  17